No. 1
For Tb5PaIr4, the PBE geometry in Alexandria gives the simulated powder XRD pattern in this record (Cu Kα).
No peak broadening, texture or thermal motion is included.

Main lines, by angle (2θ from 10° to 90°):
| two_theta | d (Å) | Rel. int. |
| --- | --- | --- |
| 12.86 | 6.884 | 16 |
| 32.21 | 2.779 | 45 |
| 32.60 | 2.747 | 100 |
| 42.28 | 2.138 | 70 |
| 43.94 | 2.061 | 28 |
| 48.16 | 1.890 | 18 |
| 50.41 | 1.810 | 15 |
| 55.52 | 1.655 | 20 |
| 59.12 | 1.563 | 16 |
| 67.22 | 1.393 | 16 |
| 70.76 | 1.332 | 13 |
| 76.52 | 1.245 | 15 |

Crystal structure
Unit cell a=9.384 b=9.384 c=9.384 alpha=154.63 beta=132.50 gamma=54.61
Element x y z (fractional)
Tb 0.000 0.000 0.000
Tb 0.090 0.334 0.756
Tb 0.423 0.666 0.756
Tb 0.577 0.334 0.244
Tb 0.910 0.666 0.244
Pa 0.500 0.000 0.500
Ir 0.258 0.500 0.758
Ir 0.307 0.807 0.500
Ir 0.693 0.193 0.500
Ir 0.742 0.500 0.242

No. 2
For TbPaTcIr, the PBE geometry in Alexandria gives the simulated powder XRD pattern in this record (Cu Kα).
No peak broadening, texture or thermal motion is included.

Main lines, by angle (2θ from 10° to 90°):
| two_theta | d (Å) | Rel. int. |
| --- | --- | --- |
| 22.34 | 3.980 | 6 |
| 25.85 | 3.447 | 2 |
| 36.88 | 2.437 | 100 |
| 43.54 | 2.079 | 4 |
| 45.58 | 1.990 | 1 |
| 53.14 | 1.724 | 18 |
| 58.34 | 1.582 | 2 |
| 60.01 | 1.542 | 1 |
| 66.44 | 1.407 | 36 |
| 71.05 | 1.327 | 1 |
| 78.48 | 1.219 | 11 |
| 82.84 | 1.165 | 1 |

Crystal structure
Unit cell a=4.875 b=4.875 c=4.875 alpha=60.00 beta=60.00 gamma=60.00
Element x y z (fractional)
Tb 0.000 0.000 0.000
Pa 0.500 0.500 0.500
Tc 0.250 0.250 0.250
Ir 0.750 0.750 0.750